Calculated X-ray powder pattern of SrCo2As2O8 for Cu Kα (λ = 1.5418 Å), from the GGA+U geometry in the Materials Project.

Largest 10 diffraction maxima, sorted by position, 2θ from 10° to 80°:
h k l	2theta	I (rel.)
0 2 0	26.8	100
-1 1 2	27.0	20
1 -1 2	28.8	21
1 1 -3	29.8	64
1 1 1	30.2	22
1 0 2	31.1	32
2 0 -1	31.5	40
-2 1 1	32.3	29
1 -2 2	32.5	40
1 3 -3	45.0	24

Crystal structure
```
data_SrCo2As2O8
_cell_length_a 5.746
_cell_length_b 7.212
_cell_length_c 9.560
_cell_angle_alpha 107.03
_cell_angle_beta 106.76
_cell_angle_gamma 98.80
_space_group_name_H-M_alt 'P 1'
_space_group_IT_number 1
loop_
_space_group_symop_operation_xyz
'x,y,z'
loop_
_atom_site_label
_atom_site_fract_x
_atom_site_fract_y
_atom_site_fract_z
Sr1 0.000 0.000 0.000
Sr2 0.398 0.494 0.900
Co1 0.118 0.443 0.505
Co2 0.288 0.049 0.391
Co3 0.529 0.475 0.296
Co4 0.883 0.020 0.609
As1 0.047 0.566 0.189
As2 0.352 0.924 0.704
As3 0.659 0.025 0.250
As4 0.746 0.468 0.650
O1 0.109 0.803 0.184
O2 0.151 0.404 0.064
O3 0.155 0.929 0.528
O4 0.230 0.078 0.824
O5 0.248 0.563 0.365
O6 0.301 0.687 0.710
O7 0.439 0.321 0.582
O8 0.443 0.174 0.250
O9 0.586 0.870 0.063
O10 0.615 0.925 0.388
O11 0.669 0.019 0.747
O12 0.729 0.480 0.153
O13 0.792 0.574 0.515
O14 0.818 0.620 0.837
O15 0.963 0.320 0.647
O16 0.966 0.171 0.314
```